# 1
Computed powder XRD pattern
Compound: CaC2
Radiation: Cu Kα, 1.54184 Å
Structure: a crystal structure in the Materials Project, relaxed with GGA-PBE

Main lines, sorted by position (10 to 80 degrees two-theta):
(hkl)	d [Å]	two_theta	I/Imax
0 0 1	4.183	21.24	15
1 0 0	2.405	37.40	30
0 0 2	2.092	43.26	24
1 0 1	2.085	43.40	100
1 0 2	1.578	58.48	16
1 1 0	1.388	67.46	15

Structural model:
```
3
Lattice="2.7768 0.0000 0.0000 -1.3884 2.4048 0.0000 0.0000 0.0000 4.1831" Properties=species:S:1:pos:R:3 pbc="T T T"
Ca 0.0000 0.0000 0.0000
C 0.0000 1.6032 2.0916
C 1.3884 0.8016 2.0916
```

***

# 2
Computed powder XRD pattern
Compound: CaC2
Radiation: Cu Kα, 1.54184 Å
Structure: a crystal structure in the Materials Project, relaxed with GGA-PBE

Main lines, sorted by position (10 to 80 degrees two-theta):
(hkl)	d [Å]	two_theta	I/Imax
1 0 1	3.528	25.24	39
0 1 2	2.561	35.03	71
1 1 0	2.433	36.94	100
2 0 2	1.764	51.83	20
1 1 3	1.611	57.17	28
1 2 2	1.428	65.34	18

Structural model:
```
9
Lattice="4.8662 0.0000 0.0000 -2.4331 4.2143 0.0000 0.0000 0.0000 6.4506" Properties=species:S:1:pos:R:3 pbc="T T T"
Ca 0.0000 0.0000 0.0000
Ca 0.0000 2.8095 4.3004
Ca 2.4331 1.4048 2.1502
C 0.0000 0.0000 2.5918
C 0.0000 0.0000 3.8588
C 0.0000 2.8095 0.4416
C 0.0000 2.8095 1.7086
C 2.4331 1.4048 4.7420
C 2.4331 1.4048 6.0090
```

***

# 3
Computed powder XRD pattern
Compound: CaC2
Radiation: Cu Kα, 1.54184 Å
Structure: a crystal structure in the Materials Project, relaxed with GGA-PBE

Main lines, sorted by position (10 to 80 degrees two-theta):
(hkl)	d [Å]	two_theta	I/Imax
0 1 1	3.611	24.65	34
1 1 0	2.995	29.84	100
0 0 2	2.680	33.43	44
0 2 0	2.443	36.79	14
1 1 2	1.997	45.41	53
1 2 1	1.918	47.41	28

Structural model:
```
6
Lattice="3.7898 0.0000 0.0000 0.0000 4.8865 0.0000 0.0000 0.0000 5.3603" Properties=species:S:1:pos:R:3 pbc="T T T"
Ca 0.0000 0.0000 0.0000
Ca 1.8949 2.4433 2.6801
C 0.0000 0.6292 2.6801
C 0.0000 4.2573 2.6801
C 1.8949 1.8141 0.0000
C 1.8949 3.0725 0.0000
```

***

# 4
Computed powder XRD pattern
Compound: CaC2
Radiation: Cu Kα, 1.54184 Å
Structure: a crystal structure in the Materials Project, relaxed with GGA-PBE

Main lines, sorted by position (10 to 80 degrees two-theta):
(hkl)	d [Å]	two_theta	I/Imax
0 0 1	7.128	12.42	100
1 1 -1	3.463	25.73	41
1 1 1	3.116	28.65	38
2 0 1	3.023	29.55	29
2 0 -3	2.305	39.07	24
3 1 -2	2.070	43.74	19

Structural model:
```
12
Lattice="7.8357 0.0000 0.0000 0.0000 4.2254 0.0000 -1.9518 0.0000 7.1284" Properties=species:S:1:pos:R:3 pbc="T T T"
Ca 0.9750 0.0000 1.9902
Ca 0.9910 2.1127 5.1382
Ca 4.8929 2.1127 1.9902
Ca 4.9088 0.0000 5.1382
C -0.5794 2.1127 3.0315
C -0.5440 0.0000 4.0712
C 2.5100 2.1127 3.0572
C 2.5455 0.0000 4.0969
C 3.3384 0.0000 3.0315
C 3.3738 2.1127 4.0712
C 6.4279 0.0000 3.0572
C 6.4633 2.1127 4.0969
```

***

# 5
Computed powder XRD pattern
Compound: CaC2
Radiation: Cu Kα, 1.54184 Å
Structure: a crystal structure in the Materials Project, relaxed with GGA-PBE

Main lines, sorted by position (10 to 80 degrees two-theta):
(hkl)	d [Å]	two_theta	I/Imax
0 0 2	3.573	24.92	17
1 1 -1	3.216	27.74	17
2 0 -2	2.937	30.44	39
1 1 1	2.882	31.03	100
1 1 -3	2.087	43.36	27
0 2 0	1.921	47.31	15

Structural model:
```
12
Lattice="7.1680 0.0000 0.0000 0.0000 3.8426 0.0000 -2.1678 0.0000 7.1469" Properties=species:S:1:pos:R:3 pbc="T T T"
Ca 0.9289 0.0000 1.7660
Ca 0.4872 1.9213 5.3809
Ca 4.5129 1.9213 1.7660
Ca 4.0712 0.0000 5.3809
C -1.7042 1.9213 6.7199
C -0.6577 0.0000 4.0367
C 2.0739 1.9213 3.1102
C 3.1204 0.0000 0.4270
C 1.8798 0.0000 6.7199
C 2.9262 1.9213 4.0367
C 5.6579 0.0000 3.1102
C 6.7044 1.9213 0.4270
```

***

# 6
Computed powder XRD pattern
Compound: CaC2
Radiation: Cu Kα, 1.54184 Å
Structure: a crystal structure in the Materials Project, relaxed with GGA-PBE

Main lines, sorted by position (10 to 80 degrees two-theta):
(hkl)	d [Å]	two_theta	I/Imax
1 0 1	3.322	26.83	46
0 0 2	3.201	27.87	46
1 1 0	2.748	32.58	100
1 1 2	2.085	43.39	49
2 0 0	1.943	46.75	30
1 0 3	1.871	48.67	32

Structural model:
```
6
Lattice="3.8865 0.0000 0.0000 0.0000 3.8865 0.0000 0.0000 0.0000 6.4029" Properties=species:S:1:pos:R:3 pbc="T T T"
Ca 0.0000 0.0000 0.0000
Ca 1.9433 1.9433 3.2015
C 0.0000 0.0000 2.5702
C 0.0000 0.0000 3.8328
C 1.9433 1.9433 0.6313
C 1.9433 1.9433 5.7716
```

***

# 7
Computed powder XRD pattern
Compound: CaC2
Radiation: Cu Kα, 1.54184 Å
Structure: a crystal structure in the Materials Project, relaxed with GGA-PBE

Main lines, sorted by position (10 to 80 degrees two-theta):
(hkl)	d [Å]	two_theta	I/Imax
1 1 -1	3.347	26.63	21
1 1 1	2.940	30.40	100
2 0 -2	2.817	31.77	63
1 1 -3	2.128	42.47	29
2 0 2	2.078	43.55	21
3 1 -1	1.951	46.54	28

Structural model:
```
12
Lattice="6.6280 0.0000 0.0000 0.0000 4.1612 0.0000 -2.2177 0.0000 7.1171" Properties=species:S:1:pos:R:3 pbc="T T T"
Ca -0.5544 0.7376 1.7793
Ca -1.6632 3.4236 5.3378
Ca 1.6507 1.3430 5.3378
Ca 2.7596 2.8182 1.7793
C -0.6227 1.4913 6.6816
C 0.4861 2.6699 3.1230
C 1.7190 0.5893 0.4355
C 0.6102 3.5719 3.9940
C 3.8001 0.5893 3.1230
C 2.6913 3.5719 6.6816
C 3.9242 1.4913 3.9940
C 5.0330 2.6699 0.4355
```

***

# 8
Computed powder XRD pattern
Compound: CaC2
Radiation: Cu Kα, 1.54184 Å
Structure: a crystal structure in the Materials Project, relaxed with GGA-PBE

Main lines, sorted by position (10 to 80 degrees two-theta):
(hkl)	d [Å]	two_theta	I/Imax
0 2 1	3.224	27.67	49
1 1 1	2.794	32.04	100
1 3 0	2.300	39.17	42
1 3 1	2.072	43.68	19
1 1 2	1.963	46.26	20
2 0 0	1.874	48.58	17

Structural model:
```
12
Lattice="3.7480 0.0000 0.0000 0.0000 8.7387 0.0000 0.0000 0.0000 4.7766" Properties=species:S:1:pos:R:3 pbc="T T T"
Ca 0.0000 1.2778 1.1942
Ca 0.0000 7.4609 3.5825
Ca 1.8740 3.0916 3.5825
Ca 1.8740 5.6471 1.1942
C 0.0000 3.8335 0.4950
C 0.0000 3.8335 1.8933
C 0.0000 4.9051 2.8833
C 0.0000 4.9051 4.2816
C 1.8740 0.5358 2.8833
C 1.8740 0.5358 4.2816
C 1.8740 8.2029 0.4950
C 1.8740 8.2029 1.8933
```